The following is a computed powder diffraction line list of AcScSeO2. It was derived from a DFT-relaxed cell (PBE, Alexandria), using Cu Kα, 1.54184 Å.

Largest 10 diffraction maxima, by angle, 10° ≤ 2θ ≤ 90°:
h k l  two_theta  I_rel
0 0 1  14.3  71
1 0 1  26.1  100
1 1 0  30.9  54
1 1 1  34.2  39
1 0 2  36.4  77
2 0 0  44.3  30
2 0 1  46.8  16
2 1 1  52.1  31
1 1 3  54.6  17
2 1 2  58.6  39

Atomic structure:
Cell: 4.090 4.090 6.197 Å, 90.00 90.00 90.00°
Element x y z (fractional)
Ac (0.000, 0.000, 0.000)
Sc (0.500, 0.500, 0.336)
Se (0.500, 0.500, 0.761)
O (0.000, 0.500, 0.237)
O (0.500, 0.000, 0.237)